[1]
Theoretical PXRD pattern
Compound: V13Cu2
Radiation: Cu Kα (λ = 1.5418 Å)
Structure: a structure optimized by DFT (PBE)

Principal peaks in the range 10 to 90 degrees two-theta, sorted by position:
h k l  2θ/deg  d/Å  intensity
0 0 3  14.4  6.165  20
1 0 1  16.1  5.520  55
2 1 1  41.6  2.171  100
0 1 8  42.1  2.147  51
1 2 2  42.5  2.127  31
0 2 7  46.6  1.951  70
2 2 0  55.0  1.670  21
3 0 6  56.3  1.635  25
3 0 9  66.5  1.406  18
2 3 8  84.1  1.151  23

Cell and atoms:
```
data_V13Cu2
_cell_length_a 6.6785
_cell_length_b 6.6785
_cell_length_c 18.4950
_cell_angle_alpha 90.00
_cell_angle_beta 90.00
_cell_angle_gamma 120.00
_symmetry_space_group_name_H-M 'R -3 m'
_symmetry_Int_Tables_number 166
_symmetry_space_group_name_Hall '-R 3 2"'
loop_
_atom_site_label
_atom_site_fract_x
_atom_site_fract_y
_atom_site_fract_z
_atom_site_occupancy
V1 0.0000 0.0000 0.0000 1
V2 0.0745 0.5373 0.2934 1
V3 0.0750 0.5375 0.4247 1
Cu1 0.0000 0.0000 0.1320 1
```



[2]
Theoretical PXRD pattern
Compound: BaRu2Xe5F22
Radiation: Cu Kα (λ = 1.5418 Å)
Structure: a structure optimized by DFT (PBE)

Principal peaks in the range 10 to 90 degrees two-theta, sorted by position:
h k l  2θ/deg  d/Å  intensity
2 2 2  22.9  3.878  100
0 0 4  25.1  3.548  32
4 0 0  29.2  3.057  14
0 4 4  35.8  2.508  12
4 0 4  38.9  2.316  22
2 6 2  42.9  2.106  35
4 4 4  46.9  1.939  15
6 2 2  48.2  1.888  12
6 6 2  61.5  1.508  14
4 8 4  66.4  1.408  11

Cell and atoms:
```
data_BaRu2Xe5F22
_cell_length_a 12.2278
_cell_length_b 14.1798
_cell_length_c 14.1984
_cell_angle_alpha 90.00
_cell_angle_beta 90.00
_cell_angle_gamma 90.00
_symmetry_space_group_name_H-M 'F m m m'
_symmetry_Int_Tables_number 69
_symmetry_space_group_name_Hall '-F 2 2'
loop_
_atom_site_label
_atom_site_fract_x
_atom_site_fract_y
_atom_site_fract_z
_atom_site_occupancy
Ba1 0.0000 0.0000 0.0000 1
Ru1 0.2500 0.0000 0.2500 1
Xe1 0.0000 0.0000 0.5000 1
Xe2 0.0000 0.2500 0.2500 1
Xe3 0.2500 0.2500 0.0000 1
F1 0.0000 0.1461 0.5000 1
F2 0.0000 0.1798 0.1214 1
F3 0.1257 0.0000 0.1685 1
F4 0.1822 0.0948 0.3240 1
F5 0.1863 0.1142 0.0000 1
```



[3]
Theoretical PXRD pattern
Compound: TaSi2Br
Radiation: Cu Kα (λ = 1.5418 Å)
Structure: a structure optimized by DFT (PBE)

Principal peaks in the range 10 to 90 degrees two-theta, sorted by position:
h k l  2θ/deg  d/Å  intensity
0 0 1  11.0  8.030  100
1 0 0  26.4  3.382  16
0 1 1  28.4  3.143  19
1 0 -1  28.6  3.117  29
0 0 3  33.5  2.677  10
0 1 2  34.5  2.601  24
1 1 -1  39.1  2.302  29
0 1 3  42.9  2.107  13
1 1 2  43.9  2.062  32
1 0 -4  53.0  1.729  7

Cell and atoms:
```
data_TaSi2Br
_cell_length_a 3.3823
_cell_length_b 3.4154
_cell_length_c 8.0299
_cell_angle_alpha 90.00
_cell_angle_beta 90.13
_cell_angle_gamma 90.00
_symmetry_space_group_name_H-M 'P 1 m 1'
_symmetry_Int_Tables_number 6
loop_
_symmetry_equiv_pos_as_xyz
'x,y,z'
'x,-y,z'
loop_
_atom_site_label
_atom_site_fract_x
_atom_site_fract_y
_atom_site_fract_z
_atom_site_occupancy
Ta1 0.0000 0.0000 0.0000 1
Si1 0.4999 0.5000 0.8751 1
Si2 0.5102 0.0000 0.6756 1
Br1 0.0008 0.5000 0.2541 1
```